This entry pairs a crystal structure of Ho2MnCo5Si2 with its theoretical PXRD pattern. Radiation: copper Kα. Structure: DFT lattice parameters and positions (GGA-PBE).
Intensities are scaled so that the largest is 100.

Structural model:
Cell lengths 9.406, 9.406, 3.231 Å; angles 90.00, 90.00, 90.00 degrees
Element x y z (fractional)
Ho 0.176 0.324 0.000
Ho 0.324 0.824 0.000
Ho 0.676 0.176 0.000
Ho 0.824 0.676 0.000
Mn 0.000 0.000 0.000
Mn 0.500 0.500 0.000
Co 0.000 0.500 0.500
Co 0.064 0.787 0.500
Co 0.213 0.064 0.500
Co 0.287 0.564 0.500
Co 0.436 0.287 0.500
Co 0.500 0.000 0.500
Co 0.564 0.713 0.500
Co 0.713 0.436 0.500
Co 0.787 0.936 0.500
Co 0.936 0.213 0.500
Si 0.121 0.621 0.000
Si 0.379 0.121 0.000
Si 0.621 0.879 0.000
Si 0.879 0.379 0.000

Most intense lines, 5 to 70 degrees two-theta, in order of rising 2θ:
hkl  d [Å]  intensity
2 0 0  4.703  14
2 1 0  4.207  35
2 0 1  2.663  22
2 1 1  2.563  86
2 2 1  2.318  34
4 1 0  2.281  91
3 3 0  2.217  34
3 1 1  2.188  100
4 2 0  2.103  18
3 2 1  2.030  29
0 0 2  1.615  33
6 0 1  1.410  16